Record 1
The following is a calculated PXRD pattern of LaGe2Br. It was derived from a DFT-relaxed cell (PBE, Alexandria), using λ = 1.5418 Å (Cu Kα).
Kinematic intensities with the Lorentz-polarization factor, no thermal factor.

Cell and atoms:
```
data_LaGe2Br
_chemical_formula_sum 'La4 Ge8 Br4'
_symmetry_space_group_name_H-M 'I -4 2 d'
_symmetry_Int_Tables_number 122
_symmetry_space_group_name_Hall 'I -4 2bw'
_cell_length_a 9.448
_cell_length_b 9.448
_cell_length_c 5.543
_cell_angle_alpha 90.00
_cell_angle_beta 90.00
_cell_angle_gamma 90.00
loop_
_atom_site_label
_atom_site_fract_x
_atom_site_fract_y
_atom_site_fract_z
_atom_site_occupancy
La1 0.000 0.000 0.000 1
Ge1 0.225 0.250 0.125 1
Br1 0.000 0.000 0.500 1
```

Peak list (10 most intense, 2θ = 10–90°, in order of rising 2θ)
| hkl | 2θ/deg | I_rel |
| --- | --- | --- |
| 2 2 0 | 26.7 | 100 |
| 1 1 2 | 35.1 | 52 |
| 4 0 0 | 38.1 | 37 |
| 3 1 2 | 44.6 | 51 |
| 3 3 2 | 52.7 | 15 |
| 5 1 2 | 60.1 | 20 |
| 6 2 0 | 62.1 | 17 |
| 5 3 2 | 66.9 | 14 |
| 2 0 4 | 70.9 | 12 |
| 4 2 4 | 83.4 | 15 |

***

Record 2
The following is a calculated PXRD pattern of LiMg3Cd2. It was derived from a DFT-relaxed cell (PBE, Alexandria), using λ = 1.5418 Å (Cu Kα).
Kinematic intensities with the Lorentz-polarization factor, no thermal factor.

Cell and atoms:
```
data_LiMg3Cd2
_chemical_formula_sum 'Li2 Mg6 Cd4'
_symmetry_space_group_name_H-M 'C m m m'
_symmetry_Int_Tables_number 65
_symmetry_space_group_name_Hall '-C 2 2'
_cell_length_a 4.489
_cell_length_b 13.229
_cell_length_c 4.252
_cell_angle_alpha 90.00
_cell_angle_beta 90.00
_cell_angle_gamma 90.00
loop_
_atom_site_label
_atom_site_fract_x
_atom_site_fract_y
_atom_site_fract_z
_atom_site_occupancy
Li1 0.000 0.000 0.000 1
Mg1 0.000 0.166 0.500 1
Mg2 0.000 0.500 0.500 1
Cd1 0.000 0.336 0.000 1
```

Peak list (10 most intense, 2θ = 10–90°, in order of rising 2θ)
| hkl | 2θ/deg | I_rel |
| --- | --- | --- |
| 0 2 0 | 13.4 | 28 |
| 0 0 1 | 20.9 | 50 |
| 0 2 1 | 24.9 | 14 |
| 1 3 0 | 28.4 | 23 |
| 1 1 1 | 29.7 | 21 |
| 1 3 1 | 35.5 | 100 |
| 2 0 0 | 40.2 | 18 |
| 0 6 0 | 40.9 | 17 |
| 0 0 2 | 42.5 | 18 |
| 3 3 1 | 70.0 | 14 |

***

Record 3
The following is a calculated PXRD pattern of NdLuOs. It was derived from a DFT-relaxed cell (PBE, Alexandria), using λ = 1.5418 Å (Cu Kα).
Kinematic intensities with the Lorentz-polarization factor, no thermal factor.

Cell and atoms:
```
data_NdLuOs
_chemical_formula_sum 'Nd2 Lu2 Os2'
_symmetry_space_group_name_H-M 'I 4 m m'
_symmetry_Int_Tables_number 107
_symmetry_space_group_name_Hall 'I 4 -2'
_cell_length_a 3.410
_cell_length_b 3.410
_cell_length_c 13.261
_cell_angle_alpha 90.00
_cell_angle_beta 90.00
_cell_angle_gamma 90.00
loop_
_atom_site_label
_atom_site_fract_x
_atom_site_fract_y
_atom_site_fract_z
_atom_site_occupancy
Nd1 0.000 0.000 0.000 1
Lu1 0.000 0.000 0.252 1
Os1 0.000 0.000 0.635 1
```

Peak list (10 most intense, 2θ = 10–90°, in order of rising 2θ)
| hkl | 2θ/deg | I_rel |
| --- | --- | --- |
| 0 0 2 | 13.4 | 45 |
| 1 0 3 | 33.2 | 100 |
| 1 1 0 | 37.3 | 55 |
| 1 1 2 | 39.8 | 13 |
| 1 0 5 | 43.2 | 47 |
| 2 0 0 | 53.8 | 19 |
| 2 1 3 | 64.6 | 30 |
| 1 1 8 | 68.7 | 18 |
| 2 1 5 | 71.3 | 21 |
| 2 0 8 | 80.9 | 12 |

***

Record 4
The following is a calculated PXRD pattern of Ce4I3Cl7. It was derived from a DFT-relaxed cell (PBE, Alexandria), using λ = 1.5418 Å (Cu Kα).
Kinematic intensities with the Lorentz-polarization factor, no thermal factor.

Cell and atoms:
```
data_Ce4I3Cl7
_chemical_formula_sum 'Ce8 I6 Cl14'
_symmetry_space_group_name_H-M 'C 1 2/m 1'
_symmetry_Int_Tables_number 12
_cell_length_a 18.580
_cell_length_b 4.575
_cell_length_c 11.565
_cell_angle_alpha 90.00
_cell_angle_beta 125.20
_cell_angle_gamma 90.00
loop_
_symmetry_equiv_pos_as_xyz
'x,y,z'
'-x,-y,-z'
'-x,y,-z'
'x,-y,z'
'x+1/2,y+1/2,z'
'-x+1/2,-y+1/2,-z'
'-x+1/2,y+1/2,-z'
'x+1/2,-y+1/2,z'
loop_
_atom_site_label
_atom_site_fract_x
_atom_site_fract_y
_atom_site_fract_z
_atom_site_occupancy
Ce1 0.108 0.000 0.299 1
Ce2 0.170 0.500 0.770 1
I1 0.000 0.000 0.500 1
I2 0.186 0.500 0.188 1
Cl1 0.000 0.000 0.000 1
Cl2 0.010 0.500 0.770 1
Cl3 0.170 0.000 0.923 1
Cl4 0.187 0.500 0.522 1
```

Peak list (10 most intense, 2θ = 10–90°, in order of rising 2θ)
| hkl | 2θ/deg | I_rel |
| --- | --- | --- |
| 0 0 2 | 18.8 | 72 |
| 1 1 1 | 23.8 | 29 |
| 4 0 -3 | 24.2 | 31 |
| 3 1 0 | 26.3 | 45 |
| 1 1 2 | 30.0 | 58 |
| 3 1 -3 | 30.3 | 77 |
| 5 1 -2 | 31.1 | 100 |
| 6 0 0 | 35.5 | 51 |
| 0 2 0 | 39.4 | 47 |
| 8 0 -5 | 44.0 | 36 |

***

Copy entry 2 word for word.
The following is a calculated PXRD pattern of LiMg3Cd2. It was derived from a DFT-relaxed cell (PBE, Alexandria), using λ = 1.5418 Å (Cu Kα).
Kinematic intensities with the Lorentz-polarization factor, no thermal factor.

Cell and atoms:
```
data_LiMg3Cd2
_chemical_formula_sum 'Li2 Mg6 Cd4'
_symmetry_space_group_name_H-M 'C m m m'
_symmetry_Int_Tables_number 65
_symmetry_space_group_name_Hall '-C 2 2'
_cell_length_a 4.489
_cell_length_b 13.229
_cell_length_c 4.252
_cell_angle_alpha 90.00
_cell_angle_beta 90.00
_cell_angle_gamma 90.00
loop_
_atom_site_label
_atom_site_fract_x
_atom_site_fract_y
_atom_site_fract_z
_atom_site_occupancy
Li1 0.000 0.000 0.000 1
Mg1 0.000 0.166 0.500 1
Mg2 0.000 0.500 0.500 1
Cd1 0.000 0.336 0.000 1
```

Peak list (10 most intense, 2θ = 10–90°, in order of rising 2θ)
| hkl | 2θ/deg | I_rel |
| --- | --- | --- |
| 0 2 0 | 13.4 | 28 |
| 0 0 1 | 20.9 | 50 |
| 0 2 1 | 24.9 | 14 |
| 1 3 0 | 28.4 | 23 |
| 1 1 1 | 29.7 | 21 |
| 1 3 1 | 35.5 | 100 |
| 2 0 0 | 40.2 | 18 |
| 0 6 0 | 40.9 | 17 |
| 0 0 2 | 42.5 | 18 |
| 3 3 1 | 70.0 | 14 |

***

- Number 4 is which compound?
  Ce4I3Cl7